1.
This entry pairs a crystal structure of CaMg6NiO8 with its simulated XRD peak list. Radiation: Cu Kα, 1.54184 Å. Structure: a structure optimized by DFT (GGA+U).
Lines closer than 0.1° are merged.

Largest 6 diffraction maxima, by angle, 15 to 90 degrees two-theta:
35.80 deg, I = 34, hkl 1 1 2
41.41 deg, I = 100, hkl 2 0 0
41.90 deg, I = 47, hkl 0 0 4
60.00 deg, I = 29, hkl 2 2 0
60.38 deg, I = 55, hkl 2 0 4
75.86 deg, I = 25, hkl 2 2 4

Atomic structure:
Cell lengths 4.3607, 4.3607, 8.6237 Å; angles 90.00, 90.00, 90.00 degrees
Space group P4/mmm (No. 123)
One atom of each set of equivalent atoms:
Ca: 0.0000 0.0000 0.0000 x1
Mg: 0.0000 0.0000 0.5000 x1
Mg: 0.0000 0.5000 0.2544 x4
Mg: 0.5000 0.5000 0.5000 x1
Ni: 0.5000 0.5000 0.0000 x1
O: 0.0000 0.0000 0.2643 x2
O: 0.0000 0.5000 0.0000 x2
O: 0.0000 0.5000 0.5000 x2
O: 0.5000 0.5000 0.2496 x2

---

2.
This entry pairs a crystal structure of Li9Mn2Co5O16 with its simulated XRD peak list. Radiation: Cu Kα, 1.54184 Å. Structure: a structure optimized by DFT (GGA+U).
Lines closer than 0.1° are merged.

Largest 6 diffraction maxima, by angle, 15 to 90 degrees two-theta:
18.31 deg, I = 100, hkl 1 0 -2
35.13 deg, I = 15, hkl 1 0 6
36.30 deg, I = 25, hkl 1 1 2
42.40 deg, I = 28, hkl 0 0 8
44.02 deg, I = 53, hkl 2 1 0
62.67 deg, I = 15, hkl 2 1 -8

Atomic structure:
Cell lengths 5.8738, 2.8823, 17.0543 Å; angles 90.00, 90.23, 90.00 degrees
Space group Pm (No. 6)
One atom of each set of equivalent atoms:
Li: 0.0000 0.0000 0.0000 x1
Li: 0.0038 0.0000 0.4928 x1
Li: 0.2449 0.5000 0.1308 x1
Li: 0.2506 0.5000 0.6196 x1
Li: 0.4999 0.0000 0.7424 x1
Li: 0.5056 0.0000 0.2467 x1
Li: 0.7472 0.5000 0.8693 x1
Li: 0.7545 0.5000 0.3674 x1
Li: 0.9942 0.0000 0.2469 x1
Mn: 0.2507 0.5000 0.8703 x1
Mn: 0.7528 0.5000 0.1290 x1
Co: 0.2430 0.5000 0.3570 x1
Co: 0.4913 0.0000 0.4949 x1
Co: 0.5005 0.0000 0.0002 x1
Co: 0.7474 0.5000 0.6187 x1
Co: 0.9981 0.0000 0.7419 x1
O: 0.0204 0.0000 0.8721 x1
O: 0.0248 0.0000 0.3713 x1
O: 0.2378 0.5000 0.7470 x1
O: 0.2515 0.5000 0.2517 x1
O: 0.2682 0.5000 0.4965 x1
O: 0.2783 0.5000 0.9978 x1
O: 0.4742 0.0000 0.3738 x1
O: 0.4802 0.0000 0.8723 x1
O: 0.5175 0.0000 0.6187 x1
O: 0.5246 0.0000 0.1228 x1
O: 0.7240 0.5000 0.0035 x1
O: 0.7325 0.5000 0.4982 x1
O: 0.7518 0.5000 0.2352 x1
O: 0.7613 0.5000 0.7437 x1
O: 0.9730 0.0000 0.1191 x1
O: 0.9817 0.0000 0.6233 x1

---

3.
This entry pairs a crystal structure of Na2FeO3 with its simulated XRD peak list. Radiation: Cu Kα, 1.54184 Å. Structure: a structure optimized by DFT (GGA+U).
Lines closer than 0.1° are merged.

Largest 6 diffraction maxima, by angle, 15 to 90 degrees two-theta:
16.66 deg, I = 50, hkl 1 0 1
21.90 deg, I = 100, hkl 1 1 1
33.64 deg, I = 26, hkl 0 2 2
35.53 deg, I = 16, hkl 0 0 4
36.70 deg, I = 17, hkl 2 1 2
40.73 deg, I = 29, hkl 2 2 0

Atomic structure:
Cell lengths 6.2572, 6.2743, 10.1059 Å; angles 90.00, 90.00, 90.00 degrees
Space group Pnma (No. 62)
One atom of each set of equivalent atoms:
Na: 0.0108 0.0008 0.2446 x8
Fe: 0.1609 0.2500 0.9985 x4
O: 0.0000 0.0000 0.0000 x4
O: 0.2234 0.7500 0.6595 x4
O: 0.2426 0.7500 0.3331 x4

---

4.
This entry pairs a crystal structure of MgMn3TeO8 with its simulated XRD peak list. Radiation: Cu Kα, 1.54184 Å. Structure: a structure optimized by DFT (GGA+U).
Lines closer than 0.1° are merged.

Largest 6 diffraction maxima, by angle, 15 to 90 degrees two-theta:
17.52 deg, I = 29, hkl 1 1 0
17.87 deg, I = 100, hkl 2 0 -1
33.88 deg, I = 30, hkl 0 2 1
41.03 deg, I = 24, hkl 4 0 0
41.47 deg, I = 45, hkl 2 2 -2
60.42 deg, I = 18, hkl 6 2 -2

Atomic structure:
Cell lengths 10.5803, 6.1866, 6.1354 Å; angles 90.00, 123.74, 90.00 degrees
Space group C2/m (No. 12)
One atom of each set of equivalent atoms:
Mg: 0.0000 0.0000 0.0000 x2
Mn: 0.0000 0.5000 0.5000 x2
Mn: 0.2500 0.2500 0.0000 x4
Te: 0.0000 0.0000 0.5000 x2
O: 0.0033 0.2212 0.7328 x8
O: 0.2222 0.0000 0.7384 x4
O: 0.2468 0.0000 0.1875 x4

---

5.
This entry pairs a crystal structure of Mn3Ni2P6WO24 with its simulated XRD peak list. Radiation: Cu Kα, 1.54184 Å. Structure: a structure optimized by DFT (GGA+U).
Lines closer than 0.1° are merged.

Largest 6 diffraction maxima, by angle, 15 to 90 degrees two-theta:
20.38 deg, I = 100, hkl 1 1 0
24.09 deg, I = 72, hkl 1 1 3
32.91 deg, I = 67, hkl 2 -1 6
35.70 deg, I = 41, hkl 3 0 0
47.16 deg, I = 28, hkl 1 2 8
49.33 deg, I = 25, hkl 2 2 6

Atomic structure:
Cell lengths 8.7133, 8.7133, 20.9144 Å; angles 90.00, 90.00, 120.00 degrees
Space group R3 (No. 146, hexagonal axes)
One atom of each set of equivalent atoms:
Mn: 0.0000 0.0000 0.0000 x3
Mn: 0.0000 0.0000 0.2116 x3
Mn: 0.0000 0.0000 0.4977 x3
Ni: 0.0000 0.0000 0.3555 x3
Ni: 0.0000 0.0000 0.8620 x3
P: 0.0079 0.7092 0.1038 x9
P: 0.0348 0.3673 0.2694 x9
W: 0.0000 0.0000 0.7120 x3
O: 0.0062 0.8313 0.7737 x9
O: 0.0171 0.1917 0.6630 x9
O: 0.0235 0.1910 0.2858 x9
O: 0.1272 0.6703 0.8322 x9
O: 0.1334 0.6685 0.7094 x9
O: 0.1368 0.4622 0.2102 x9
O: 0.1668 0.6784 0.0953 x9
O: 0.1680 0.4839 0.5971 x9